The following is a computed powder X-ray diffraction pattern of Na2Mn2O3. It was derived from the GGA+U geometry in the Materials Project, using Cu Kα, 1.54184 Å.
No peak broadening, texture or thermal motion is included.

Largest 10 diffraction maxima, low angle first, 10 to 90 degrees two-theta:
hkl	2θ/deg	I_rel
1 0 0	16.13	47
1 1 0	21.40	37
0 1 1	21.86	86
1 2 -1	33.30	100
0 0 2	33.83	34
2 0 -2	35.28	59
2 1 0	35.61	46
0 1 2	36.76	26
1 2 1	40.16	75
1 2 -3	55.34	28

Cell and atoms:
a b c (Å): 6.1137 6.3404 5.8953
angles (deg): 90.00 115.99 90.00
Atoms (fractional coordinates):
Na  0.2117  0.1460  0.4237
Na  0.2117  0.3540  0.9237
Na  0.7883  0.6460  0.0763
Na  0.7883  0.8540  0.5763
Mn  0.3206  0.6206  0.5439
Mn  0.3206  0.8794  0.0439
Mn  0.6794  0.1206  0.9561
Mn  0.6794  0.3794  0.4561
O  0.0000  0.0000  0.0000
O  0.0000  0.5000  0.5000
O  0.4124  0.6013  0.2401
O  0.4124  0.8987  0.7401
O  0.5876  0.1013  0.2599
O  0.5876  0.3987  0.7599